(1)
For Ce6Si3Ru, a PBE-relaxed structure gives the computed powder XRD pattern in this record (λ = 1.5418 Å (Cu Kα)).
Peak positions follow from Bragg's law for the DFT cell and can differ from measured ones.

Top 10 peaks for 10° ≤ 2θ ≤ 90°, sorted by position:
2θ = 19.64°, intensity 17; 2θ = 25.51°, intensity 27; 2θ = 26.64°, intensity 31; 2θ = 28.09°, intensity 26; 2θ = 31.28°, intensity 16; 2θ = 33.92°, intensity 100; 2θ = 34.51°, intensity 32; 2θ = 35.38°, intensity 23; 2θ = 42.54°, intensity 19; 2θ = 49.72°, intensity 39

Structure:
```
Ce6Si3Ru
1.0
5.501 3.176 4.766
-5.501 3.176 4.766
0.000 -6.352 4.766
Ce Si Ru
12 6 2
direct
0.021 0.021 0.334 Ce
0.021 0.334 0.021 Ce
0.274 0.274 0.620 Ce
0.274 0.620 0.274 Ce
0.334 0.021 0.021 Ce
0.380 0.726 0.726 Ce
0.620 0.274 0.274 Ce
0.666 0.979 0.979 Ce
0.726 0.380 0.726 Ce
0.726 0.726 0.380 Ce
0.979 0.666 0.979 Ce
0.979 0.979 0.666 Ce
0.031 0.603 0.603 Si
0.397 0.397 0.969 Si
0.397 0.969 0.397 Si
0.603 0.031 0.603 Si
0.603 0.603 0.031 Si
0.969 0.397 0.397 Si
0.000 0.000 0.000 Ru
0.500 0.500 0.500 Ru
```

=====

(2)
For Ce4SiRu, a PBE-relaxed structure gives the computed powder XRD pattern in this record (λ = 1.5418 Å (Cu Kα)).
Peak positions follow from Bragg's law for the DFT cell and can differ from measured ones.

Top 10 peaks for 10° ≤ 2θ ≤ 90°, sorted by position:
2θ = 25.30°, intensity 61; 2θ = 26.52°, intensity 43; 2θ = 33.01°, intensity 97; 2θ = 33.15°, intensity 61; 2θ = 34.78°, intensity 37; 2θ = 36.47°, intensity 81; 2θ = 36.59°, intensity 39; 2θ = 37.32°, intensity 79; 2θ = 37.55°, intensity 75; 2θ = 37.82°, intensity 100

Structure:
```
Ce4SiRu
1.0
4.172 -6.266 0.000
4.172 6.266 0.000
-2.563 0.000 5.339
Ce Si Ru
8 2 2
direct
0.064 0.676 0.915 Ce
0.213 0.391 0.687 Ce
0.324 0.936 0.585 Ce
0.391 0.213 0.187 Ce
0.609 0.787 0.813 Ce
0.676 0.064 0.415 Ce
0.787 0.609 0.313 Ce
0.936 0.324 0.085 Ce
0.385 0.615 0.250 Si
0.615 0.385 0.750 Si
0.004 0.996 0.750 Ru
0.996 0.004 0.250 Ru
```

=====

(3)
For Ce5SiRu, a PBE-relaxed structure gives the computed powder XRD pattern in this record (λ = 1.5418 Å (Cu Kα)).
Peak positions follow from Bragg's law for the DFT cell and can differ from measured ones.

Top 10 peaks for 10° ≤ 2θ ≤ 90°, sorted by position:
2θ = 22.38°, intensity 26; 2θ = 31.27°, intensity 98; 2θ = 31.91°, intensity 94; 2θ = 32.67°, intensity 100; 2θ = 33.28°, intensity 47; 2θ = 37.38°, intensity 26; 2θ = 38.12°, intensity 30; 2θ = 38.45°, intensity 55; 2θ = 40.92°, intensity 26; 2θ = 43.07°, intensity 29

Structure:
```
Ce5SiRu
1.0
4.466 -3.750 0.000
4.466 3.750 0.000
-1.392 0.000 10.141
Ce Si Ru
10 2 2
direct
0.008 0.475 0.863 Ce
0.056 0.944 0.750 Ce
0.221 0.522 0.471 Ce
0.475 0.008 0.363 Ce
0.478 0.779 0.029 Ce
0.522 0.221 0.971 Ce
0.525 0.992 0.637 Ce
0.779 0.478 0.529 Ce
0.944 0.056 0.250 Ce
0.992 0.525 0.137 Ce
0.471 0.529 0.750 Si
0.529 0.471 0.250 Si
0.000 0.000 0.000 Ru
0.000 0.000 0.500 Ru
```